For Sr2MgSn4Au3, DFT lattice parameters and positions (PBE) gives the theoretical XRD peak list in this record (Cu Kα, 1.54184 Å).
Neutral-atom scattering factors, no anomalous dispersion.

Atomic structure:
```
Sr2MgSn4Au3
1.0
4.6618 0.0000 0.0000
0.0000 4.6618 0.0000
0.0000 0.0000 12.0027
Sr Mg Sn Au
2 1 4 3
Direct
0.0000 0.5000 0.2499 Sr
0.5000 0.0000 0.7501 Sr
0.0000 0.0000 0.5000 Mg
0.0000 0.0000 0.0000 Sn
0.0000 0.5000 0.6380 Sn
0.5000 0.0000 0.3620 Sn
0.5000 0.5000 0.0000 Sn
0.0000 0.5000 0.8626 Au
0.5000 0.0000 0.1374 Au
0.5000 0.5000 0.5000 Au
```

Most intense lines, 15 to 90 degrees two-theta, most intense first:
- 30.95 deg, d = 2.889 Å, I 100
- 38.63 deg, d = 2.331 Å, I 82
- 40.66 deg, d = 2.219 Å, I 70
- 20.44 deg, d = 4.346 Å, I 60
- 29.42 deg, d = 3.036 Å, I 59
- 42.35 deg, d = 2.134 Å, I 48
- 58.65 deg, d = 1.574 Å, I 37
- 71.27 deg, d = 1.323 Å, I 29
- 49.29 deg, d = 1.849 Å, I 29
- 55.77 deg, d = 1.648 Å, I 29

For SrMg5Au3, DFT lattice parameters and positions (PBE) gives the theoretical XRD peak list in this record (Cu Kα, 1.54184 Å).
Neutral-atom scattering factors, no anomalous dispersion.

Atomic structure:
```
SrMg5Au3
1.0
2.2202 -7.2046 0.0000
2.2202 7.2046 0.0000
0.0000 0.0000 13.2545
Sr Mg Au
2 10 6
Direct
0.1586 0.8414 0.7500 Sr
0.8414 0.1586 0.2500 Sr
0.0000 0.0000 0.0000 Mg
0.0000 0.0000 0.5000 Mg
0.1985 0.8015 0.0603 Mg
0.1985 0.8015 0.4397 Mg
0.4419 0.5581 0.6425 Mg
0.4419 0.5581 0.8575 Mg
0.5581 0.4419 0.1425 Mg
0.5581 0.4419 0.3575 Mg
0.8015 0.1985 0.5603 Mg
0.8015 0.1985 0.9397 Mg
0.1142 0.8858 0.2500 Au
0.3837 0.6163 0.0538 Au
0.3837 0.6163 0.4462 Au
0.6163 0.3837 0.5538 Au
0.6163 0.3837 0.9462 Au
0.8858 0.1142 0.7500 Au
```

Most intense lines, 15 to 90 degrees two-theta, most intense first:
- 24.92 deg, d = 3.574 Å, I 100
- 23.62 deg, d = 3.766 Å, I 65
- 24.71 deg, d = 3.602 Å, I 62
- 30.56 deg, d = 2.926 Å, I 60
- 39.69 deg, d = 2.271 Å, I 50
- 44.02 deg, d = 2.057 Å, I 38
- 40.64 deg, d = 2.220 Å, I 32
- 40.11 deg, d = 2.248 Å, I 30
- 42.86 deg, d = 2.110 Å, I 25
- 28.19 deg, d = 3.166 Å, I 23

For Sr2Mg5Au3, DFT lattice parameters and positions (PBE) gives the theoretical XRD peak list in this record (Cu Kα, 1.54184 Å).
Neutral-atom scattering factors, no anomalous dispersion.

Atomic structure:
```
Sr2Mg5Au3
1.0
2.3118 -13.8558 0.0000
2.3118 13.8558 0.0000
0.0000 0.0000 7.6675
Sr Mg Au
4 10 6
Direct
0.0252 0.9748 0.5000 Sr
0.3242 0.6758 0.4406 Sr
0.6758 0.3242 0.9406 Sr
0.9748 0.0252 0.0000 Sr
0.0976 0.9024 0.1234 Mg
0.2082 0.7918 0.6331 Mg
0.2099 0.7901 0.2461 Mg
0.3683 0.6317 0.9584 Mg
0.4435 0.5565 0.3295 Mg
0.5565 0.4435 0.8295 Mg
0.6317 0.3683 0.4584 Mg
0.7901 0.2099 0.7461 Mg
0.7918 0.2082 0.1331 Mg
0.9024 0.0976 0.6234 Mg
0.1130 0.8870 0.7516 Au
0.2660 0.7340 0.9393 Au
0.4536 0.5464 0.7036 Au
0.5464 0.4536 0.2036 Au
0.7340 0.2660 0.4393 Au
0.8870 0.1130 0.2516 Au
```

Most intense lines, 15 to 90 degrees two-theta, most intense first:
- 31.83 deg, d = 2.811 Å, I 100
- 24.46 deg, d = 3.639 Å, I 76
- 31.97 deg, d = 2.799 Å, I 72
- 22.47 deg, d = 3.956 Å, I 72
- 38.96 deg, d = 2.312 Å, I 55
- 22.69 deg, d = 3.920 Å, I 50
- 24.09 deg, d = 3.695 Å, I 49
- 41.54 deg, d = 2.174 Å, I 45
- 42.43 deg, d = 2.131 Å, I 42
- 34.42 deg, d = 2.606 Å, I 30

For Sr2Mg2Au, DFT lattice parameters and positions (PBE) gives the theoretical XRD peak list in this record (Cu Kα, 1.54184 Å).
Neutral-atom scattering factors, no anomalous dispersion.

Atomic structure:
```
Sr2Mg2Au
1.0
6.1572 -3.4776 0.0000
6.1572 3.4776 0.0000
-2.2160 0.0000 7.2852
Sr Mg Au
4 4 2
Direct
0.0693 0.2362 0.1379 Sr
0.2362 0.0693 0.6379 Sr
0.7638 0.9307 0.3621 Sr
0.9307 0.7638 0.8621 Sr
0.3016 0.5003 0.5335 Mg
0.5003 0.3016 0.0335 Mg
0.4997 0.6984 0.9665 Mg
0.6984 0.4997 0.4665 Mg
0.2799 0.7201 0.2500 Au
0.7201 0.2799 0.7500 Au
```

Most intense lines, 15 to 90 degrees two-theta, most intense first:
- 17.72 deg, d = 5.004 Å, I 100
- 25.82 deg, d = 3.450 Å, I 80
- 31.59 deg, d = 2.832 Å, I 60
- 15.04 deg, d = 5.891 Å, I 53
- 37.86 deg, d = 2.376 Å, I 47
- 42.28 deg, d = 2.137 Å, I 42
- 35.89 deg, d = 2.502 Å, I 41
- 33.08 deg, d = 2.708 Å, I 40
- 29.83 deg, d = 2.995 Å, I 40
- 26.06 deg, d = 3.420 Å, I 39

For SrTm2MgAu4, DFT lattice parameters and positions (PBE) gives the theoretical XRD peak list in this record (Cu Kα, 1.54184 Å).
Neutral-atom scattering factors, no anomalous dispersion.

Atomic structure:
```
SrTm2MgAu4
1.0
2.4754 1.4292 8.8529
-2.4754 1.4292 8.8529
0.0000 -2.8584 8.8529
Sr Tm Mg Au
1 2 1 4
Direct
0.0000 0.0000 0.0000 Sr
0.2368 0.2368 0.2368 Tm
0.7632 0.7632 0.7632 Tm
0.5000 0.5000 0.5000 Mg
0.1256 0.1256 0.1256 Au
0.3965 0.3965 0.3965 Au
0.6035 0.6035 0.6035 Au
0.8744 0.8744 0.8744 Au
```

Most intense lines, 15 to 90 degrees two-theta, most intense first:
- 36.29 deg, d = 2.475 Å, I 100
- 34.16 deg, d = 2.625 Å, I 70
- 63.93 deg, d = 1.456 Å, I 23
- 50.69 deg, d = 1.801 Å, I 23
- 42.99 deg, d = 2.104 Å, I 23
- 20.06 deg, d = 4.426 Å, I 20
- 41.81 deg, d = 2.161 Å, I 19
- 65.29 deg, d = 1.429 Å, I 18
- 24.72 deg, d = 3.602 Å, I 15
- 26.72 deg, d = 3.336 Å, I 14

For SrMg2Zn2Au2, DFT lattice parameters and positions (PBE) gives the theoretical XRD peak list in this record (Cu Kα, 1.54184 Å).
Neutral-atom scattering factors, no anomalous dispersion.

Atomic structure:
```
SrMg2Zn2Au2
1.0
2.2770 1.3146 8.6903
-2.2770 1.3146 8.6903
0.0000 -2.6292 8.6903
Sr Mg Zn Au
1 2 2 2
Direct
0.0000 0.0000 0.0000 Sr
0.1341 0.1341 0.1341 Mg
0.8659 0.8659 0.8659 Mg
0.4193 0.4193 0.4193 Zn
0.5807 0.5807 0.5807 Zn
0.2424 0.2424 0.2424 Au
0.7575 0.7575 0.7575 Au
```

Most intense lines, 15 to 90 degrees two-theta, most intense first:
- 39.58 deg, d = 2.277 Å, I 100
- 26.41 deg, d = 3.374 Å, I 82
- 20.44 deg, d = 4.345 Å, I 66
- 44.95 deg, d = 2.017 Å, I 53
- 35.74 deg, d = 2.512 Å, I 49
- 23.57 deg, d = 3.775 Å, I 45
- 58.74 deg, d = 1.572 Å, I 41
- 28.37 deg, d = 3.145 Å, I 40
- 41.55 deg, d = 2.173 Å, I 29
- 51.03 deg, d = 1.790 Å, I 21

For MgTaAu, DFT lattice parameters and positions (PBE) gives the theoretical XRD peak list in this record (Cu Kα, 1.54184 Å).
Neutral-atom scattering factors, no anomalous dispersion.

Atomic structure:
```
MgTaAu
1.0
3.0621 0.0000 0.0000
0.0000 3.7976 0.0000
0.0000 0.0000 9.4520
Mg Ta Au
2 2 2
Direct
0.0000 0.0000 0.0000 Mg
0.0000 0.0000 0.3223 Mg
0.0000 0.0000 0.6614 Ta
0.5000 0.5000 0.8138 Ta
0.5000 0.5000 0.1468 Au
0.5000 0.5000 0.4839 Au
```

Most intense lines, 15 to 90 degrees two-theta, most intense first:
- 37.08 deg, d = 2.425 Å, I 100
- 37.74 deg, d = 2.384 Å, I 97
- 41.11 deg, d = 2.196 Å, I 75
- 47.88 deg, d = 1.900 Å, I 44
- 64.92 deg, d = 1.436 Å, I 39
- 23.43 deg, d = 3.798 Å, I 29
- 71.83 deg, d = 1.314 Å, I 28
- 73.10 deg, d = 1.295 Å, I 28
- 28.33 deg, d = 3.151 Å, I 20
- 29.16 deg, d = 3.062 Å, I 17

For MgTaAu, DFT lattice parameters and positions (PBE) gives the theoretical XRD peak list in this record (Cu Kα, 1.54184 Å).
Neutral-atom scattering factors, no anomalous dispersion.

Atomic structure:
```
MgTaAu
1.0
3.1053 0.0000 0.0000
-0.0024 5.0231 0.0000
-1.5434 -0.6357 7.1318
Mg Ta Au
2 2 2
Direct
0.0000 0.0000 0.0000 Mg
0.3176 0.0840 0.6363 Mg
0.1540 0.5446 0.3130 Ta
0.8159 0.5847 0.6331 Ta
0.4788 0.4880 0.9604 Au
0.6620 0.0456 0.3244 Au
```

Most intense lines, 15 to 90 degrees two-theta, most intense first:
- 38.23 deg, d = 2.354 Å, I 100
- 39.84 deg, d = 2.262 Å, I 87
- 35.90 deg, d = 2.502 Å, I 51
- 37.85 deg, d = 2.377 Å, I 51
- 17.73 deg, d = 5.003 Å, I 45
- 22.60 deg, d = 3.935 Å, I 22
- 34.50 deg, d = 2.600 Å, I 21
- 50.56 deg, d = 1.805 Å, I 19
- 29.44 deg, d = 3.034 Å, I 19
- 67.50 deg, d = 1.388 Å, I 17

For TbMg5Au6, DFT lattice parameters and positions (PBE) gives the theoretical XRD peak list in this record (Cu Kα, 1.54184 Å).
Neutral-atom scattering factors, no anomalous dispersion.

Atomic structure:
```
TbMg5Au6
1.0
4.7546 0.0000 0.0000
0.0000 6.7999 0.0000
-2.2536 0.0000 7.1104
Tb Mg Au
1 5 6
Direct
0.0000 0.0000 0.0000 Tb
0.0000 0.5000 0.0000 Mg
0.3279 0.0000 0.6587 Mg
0.3315 0.5000 0.6730 Mg
0.6685 0.5000 0.3270 Mg
0.6721 0.0000 0.3413 Mg
0.1767 0.2606 0.3424 Au
0.1767 0.7394 0.3424 Au
0.5000 0.2647 0.0000 Au
0.5000 0.7353 0.0000 Au
0.8233 0.2606 0.6576 Au
0.8233 0.7394 0.6576 Au
```

Most intense lines, 15 to 90 degrees two-theta, most intense first:
- 37.84 deg, d = 2.378 Å, I 100
- 37.48 deg, d = 2.399 Å, I 68
- 37.96 deg, d = 2.370 Å, I 33
- 26.32 deg, d = 3.386 Å, I 31
- 26.21 deg, d = 3.400 Å, I 31
- 26.79 deg, d = 3.328 Å, I 30
- 46.67 deg, d = 1.946 Å, I 27
- 67.81 deg, d = 1.382 Å, I 23
- 67.89 deg, d = 1.381 Å, I 12
- 68.57 deg, d = 1.369 Å, I 12

For TbMg3Au4, DFT lattice parameters and positions (PBE) gives the theoretical XRD peak list in this record (Cu Kα, 1.54184 Å).
Neutral-atom scattering factors, no anomalous dispersion.

Atomic structure:
```
TbMg3Au4
1.0
2.3656 1.3658 8.1506
-2.3656 1.3658 8.1506
0.0000 -2.7315 8.1506
Tb Mg Au
1 3 4
Direct
0.0000 0.0000 0.0000 Tb
0.2449 0.2449 0.2449 Mg
0.5000 0.5000 0.5000 Mg
0.7551 0.7551 0.7551 Mg
0.1260 0.1260 0.1260 Au
0.3869 0.3869 0.3869 Au
0.6131 0.6131 0.6131 Au
0.8740 0.8740 0.8740 Au
```

Most intense lines, 15 to 90 degrees two-theta, most intense first:
- 38.04 deg, d = 2.366 Å, I 100
- 36.68 deg, d = 2.450 Å, I 96
- 26.18 deg, d = 3.403 Å, I 71
- 67.84 deg, d = 1.381 Å, I 32
- 53.88 deg, d = 1.702 Å, I 32
- 68.73 deg, d = 1.366 Å, I 18
- 46.77 deg, d = 1.942 Å, I 16
- 61.80 deg, d = 1.501 Å, I 14
- 33.72 deg, d = 2.658 Å, I 13
- 22.89 deg, d = 3.885 Å, I 12

For MgTcTe2Au, DFT lattice parameters and positions (PBE) gives the theoretical XRD peak list in this record (Cu Kα, 1.54184 Å).
Neutral-atom scattering factors, no anomalous dispersion.

Atomic structure:
```
MgTcTe2Au
1.0
5.1532 0.0000 0.0000
0.0000 5.1532 0.0000
0.0000 0.0000 5.2643
Mg Tc Te Au
1 1 2 1
Direct
0.0000 0.0000 0.0000 Mg
0.5000 0.5000 0.5000 Tc
0.0000 0.5000 0.5000 Te
0.5000 0.0000 0.5000 Te
0.5000 0.5000 0.0000 Au
```

Most intense lines, 15 to 90 degrees two-theta, most intense first:
- 17.21 deg, d = 5.153 Å, I 100
- 29.82 deg, d = 2.996 Å, I 100
- 34.82 deg, d = 2.577 Å, I 79
- 49.50 deg, d = 1.841 Å, I 58
- 34.06 deg, d = 2.632 Å, I 42
- 61.94 deg, d = 1.498 Å, I 30
- 59.37 deg, d = 1.557 Å, I 29
- 50.06 deg, d = 1.822 Å, I 28
- 38.40 deg, d = 2.344 Å, I 28
- 39.09 deg, d = 2.305 Å, I 26

For Th2MgAu6, DFT lattice parameters and positions (PBE) gives the theoretical XRD peak list in this record (Cu Kα, 1.54184 Å).
Neutral-atom scattering factors, no anomalous dispersion.

Atomic structure:
```
Th2MgAu6
1.0
6.5460 0.0000 0.0000
-3.2730 5.6690 0.0000
0.0000 0.0000 5.3587
Th Mg Au
2 1 6
Direct
0.3333 0.6667 0.3192 Th
0.6667 0.3333 0.6808 Th
0.0000 0.0000 0.5000 Mg
0.1846 0.3691 0.8093 Au
0.1846 0.8154 0.8093 Au
0.3691 0.1846 0.1907 Au
0.6309 0.8154 0.8093 Au
0.8154 0.1846 0.1907 Au
0.8154 0.6309 0.1907 Au
```

Most intense lines, 15 to 90 degrees two-theta, most intense first:
- 35.84 deg, d = 2.506 Å, I 100
- 31.56 deg, d = 2.834 Å, I 25
- 37.11 deg, d = 2.422 Å, I 21
- 56.21 deg, d = 1.636 Å, I 19
- 33.44 deg, d = 2.679 Å, I 16
- 46.65 deg, d = 1.947 Å, I 14
- 68.48 deg, d = 1.370 Å, I 13
- 67.01 deg, d = 1.397 Å, I 11
- 32.04 deg, d = 2.793 Å, I 10
- 82.43 deg, d = 1.170 Å, I 9

For ThMg2Au2, DFT lattice parameters and positions (PBE) gives the theoretical XRD peak list in this record (Cu Kα, 1.54184 Å).
Neutral-atom scattering factors, no anomalous dispersion.

Atomic structure:
```
ThMg2Au2
1.0
5.3061 0.0000 0.0000
0.0000 4.8697 0.0000
-1.6068 0.0000 8.7527
Th Mg Au
2 4 4
Direct
0.1673 0.2500 0.2893 Th
0.8327 0.7500 0.7107 Th
0.3131 0.2500 0.6757 Mg
0.3626 0.7500 0.9749 Mg
0.6374 0.2500 0.0251 Mg
0.6869 0.7500 0.3243 Mg
0.0991 0.2500 0.9254 Au
0.2831 0.7500 0.5160 Au
0.7169 0.2500 0.4840 Au
0.9009 0.7500 0.0746 Au
```

Most intense lines, 15 to 90 degrees two-theta, most intense first:
- 34.37 deg, d = 2.609 Å, I 100
- 37.36 deg, d = 2.407 Å, I 99
- 36.92 deg, d = 2.435 Å, I 63
- 39.17 deg, d = 2.300 Å, I 52
- 27.40 deg, d = 3.255 Å, I 46
- 18.15 deg, d = 4.887 Å, I 44
- 16.99 deg, d = 5.219 Å, I 38
- 28.20 deg, d = 3.165 Å, I 37
- 34.03 deg, d = 2.634 Å, I 28
- 51.05 deg, d = 1.789 Å, I 26

For ThMg4Au5, DFT lattice parameters and positions (PBE) gives the theoretical XRD peak list in this record (Cu Kα, 1.54184 Å).
Neutral-atom scattering factors, no anomalous dispersion.

Atomic structure:
```
ThMg4Au5
1.0
3.3859 0.0000 0.0000
0.0000 3.3859 0.0000
0.0000 0.0000 17.0147
Th Mg Au
1 4 5
Direct
0.0000 0.0000 0.0000 Th
0.0000 0.0000 0.2183 Mg
0.0000 0.0000 0.4065 Mg
0.0000 0.0000 0.5935 Mg
0.0000 0.0000 0.7817 Mg
0.5000 0.5000 0.1255 Au
0.5000 0.5000 0.3130 Au
0.5000 0.5000 0.5000 Au
0.5000 0.5000 0.6870 Au
0.5000 0.5000 0.8745 Au
```

Most intense lines, 15 to 90 degrees two-theta, most intense first:
- 37.51 deg, d = 2.398 Å, I 100
- 26.32 deg, d = 3.386 Å, I 25
- 67.73 deg, d = 1.383 Å, I 22
- 54.18 deg, d = 1.693 Å, I 14
- 33.84 deg, d = 2.649 Å, I 11
- 66.45 deg, d = 1.407 Å, I 9
- 49.85 deg, d = 1.829 Å, I 9
- 61.18 deg, d = 1.515 Å, I 8
- 26.19 deg, d = 3.403 Å, I 8
- 30.75 deg, d = 2.907 Å, I 8